# BaCaVF6
Simulated PXRD pattern, Cu Kα (weighted mean of Kα1 and Kα2). Input: a cell relaxed with GGA+U.

Largest 8 diffraction maxima, low angle first, 15° ≤ 2θ ≤ 90°:
two_theta, I (rel.), hkl
17.60, 15, 1 0 0
23.84, 100, 1 0 2
30.74, 22, 1 1 0
34.81, 14, 2 -1 2
39.26, 24, 2 0 2
45.12, 40, 1 1 4
50.67, 24, 2 1 2
54.65, 15, 3 0 0

Atomic structure:
```
data_BaCaVF6
_cell_length_a 5.8180
_cell_length_b 5.8180
_cell_length_c 11.1167
_cell_angle_alpha 90.00
_cell_angle_beta 90.00
_cell_angle_gamma 120.00
_symmetry_space_group_name_H-M 'P -3 1 c'
_symmetry_Int_Tables_number 163
_symmetry_space_group_name_Hall '-P 3 2c'
loop_
_atom_site_label
_atom_site_type_symbol
_atom_site_fract_x
_atom_site_fract_y
_atom_site_fract_z
_atom_site_occupancy
Ba1 Ba 0.0000 0.0000 0.0000 1
Ca1 Ca 0.3333 0.6667 0.2500 1
V1 V 0.3333 0.6667 0.7500 1
F1 F 0.0182 0.3709 0.6441 1
```